# 1
Diffraction record for Pr4Te3O4. The powder X-ray diffraction pattern is computed, not measured: it uses a structure optimized by DFT (GGA-PBE) and λ = 1.5418 Å (Cu Kα).
Lines closer than 0.1° are merged.

Top 12 peaks for 10° ≤ 2θ ≤ 80°, sorted by position:
2theta	d [Å]	I_rel
25.73	3.462	14
26.68	3.341	16
27.56	3.237	18
31.17	2.870	100
34.82	2.577	64
35.72	2.514	21
37.19	2.417	36
49.26	1.850	15
49.66	1.836	19
52.52	1.742	14
63.30	1.469	14
71.14	1.325	14

Crystal structure
```
Pr4Te3O4
1.0
-2.417 3.700 6.682
2.417 -3.700 6.682
2.417 3.700 -6.682
Pr Te O
4 3 4
Direct
0.234 0.234 0.000 Pr
0.256 0.500 0.756 Pr
0.744 0.500 0.244 Pr
0.766 0.766 0.000 Pr
0.000 0.000 0.000 Te
0.395 0.895 0.500 Te
0.605 0.105 0.500 Te
0.037 0.323 0.714 O
0.391 0.677 0.714 O
0.609 0.323 0.286 O
0.963 0.677 0.286 O
```

# 2
Diffraction record for Pr4Te2O3. The powder X-ray diffraction pattern is computed, not measured: it uses a structure optimized by DFT (GGA-PBE) and λ = 1.5418 Å (Cu Kα).
Lines closer than 0.1° are merged.

Top 12 peaks for 10° ≤ 2θ ≤ 80°, sorted by position:
2theta	d [Å]	I_rel
17.50	5.069	19
27.17	3.282	13
28.59	3.122	85
29.24	3.054	100
32.50	2.755	49
36.57	2.457	29
38.23	2.354	17
38.80	2.321	68
49.27	1.850	23
49.37	1.846	23
60.65	1.527	20
61.75	1.502	29

Crystal structure
```
Pr4Te2O3
1.0
3.277 -10.138 0.000
3.277 10.138 0.000
0.000 0.000 6.575
Pr Te O
8 4 6
Direct
0.208 0.792 0.000 Pr
0.250 0.250 0.250 Pr
0.250 0.250 0.750 Pr
0.292 0.708 0.500 Pr
0.708 0.292 0.500 Pr
0.750 0.750 0.250 Pr
0.750 0.750 0.750 Pr
0.792 0.208 0.000 Pr
0.117 0.883 0.500 Te
0.383 0.617 0.000 Te
0.617 0.383 0.000 Te
0.883 0.117 0.500 Te
0.000 0.000 0.000 O
0.000 0.500 0.250 O
0.000 0.500 0.750 O
0.500 0.000 0.250 O
0.500 0.000 0.750 O
0.500 0.500 0.500 O
```

# 3
Diffraction record for PrTlTe2O8. The powder X-ray diffraction pattern is computed, not measured: it uses a structure optimized by DFT (GGA-PBE) and λ = 1.5418 Å (Cu Kα).
Lines closer than 0.1° are merged.

Top 12 peaks for 10° ≤ 2θ ≤ 80°, sorted by position:
2theta	d [Å]	I_rel
16.68	5.315	40
20.08	4.423	72
27.97	3.190	100
29.10	3.068	83
37.83	2.378	13
40.80	2.211	47
46.63	1.948	14
50.90	1.794	39
51.59	1.772	17
54.91	1.672	27
60.33	1.534	15
67.78	1.383	17

Crystal structure
```
PrTlTe2O8
1.0
6.137 0.000 0.000
-3.068 5.315 0.000
0.000 0.000 7.977
Pr Tl Te O
1 1 2 8
Direct
0.000 0.000 0.000 Pr
0.000 0.000 0.500 Tl
0.333 0.667 0.273 Te
0.667 0.333 0.727 Te
0.165 0.343 0.188 O
0.178 0.835 0.188 O
0.333 0.667 0.501 O
0.343 0.178 0.812 O
0.657 0.822 0.188 O
0.667 0.333 0.499 O
0.822 0.165 0.812 O
0.835 0.657 0.812 O
```

# 4
Diffraction record for PrTmTe2O8. The powder X-ray diffraction pattern is computed, not measured: it uses a structure optimized by DFT (GGA-PBE) and λ = 1.5418 Å (Cu Kα).
Lines closer than 0.1° are merged.

Top 12 peaks for 10° ≤ 2θ ≤ 80°, sorted by position:
2theta	d [Å]	I_rel
23.83	3.735	100
30.95	2.889	81
33.95	2.641	26
46.60	1.949	67
48.77	1.867	16
53.07	1.726	6
54.98	1.670	16
58.92	1.567	35
64.51	1.445	11
69.74	1.348	15
74.93	1.267	8
79.91	1.201	25

Crystal structure
```
PrTmTe2O8
1.0
-3.735 3.735 3.451
3.735 -3.735 3.451
3.735 3.735 -3.451
Pr Tm Te O
1 1 2 8
Direct
0.000 0.000 0.000 Pr
0.250 0.750 0.500 Tm
0.500 0.500 0.000 Te
0.750 0.250 0.500 Te
0.302 0.109 0.807 O
0.302 0.495 0.193 O
0.373 0.051 0.322 O
0.505 0.698 0.807 O
0.729 0.051 0.678 O
0.891 0.698 0.193 O
0.949 0.271 0.322 O
0.949 0.627 0.678 O
```